# 1
The following is a computed powder X-ray diffraction pattern of Ac6Pm2Pr3. It was derived from the PBE geometry in Alexandria, using copper Kα.
Neutral-atom scattering factors, no anomalous dispersion.

```
data_Ac6Pm2Pr3
_symmetry_space_group_name_H-M 'C 1 2/m 1'
_symmetry_Int_Tables_number 12
_cell_length_a 6.704
_cell_length_b 11.632
_cell_length_c 12.231
_cell_angle_alpha 90.00
_cell_angle_beta 100.60
_cell_angle_gamma 90.00
loop_
_symmetry_equiv_pos_as_xyz
'x,y,z'
'-x,-y,-z'
'-x,y,-z'
'x,-y,z'
'x+1/2,y+1/2,z'
'-x+1/2,-y+1/2,-z'
'-x+1/2,y+1/2,-z'
'x+1/2,-y+1/2,z'
loop_
_atom_site_label
_atom_site_fract_x
_atom_site_fract_y
_atom_site_fract_z
Ac1 0.247 0.166 0.243
Ac2 0.249 0.500 0.243
Pm1 0.000 0.333 0.000
Pr1 0.000 0.166 0.500
Pr2 0.000 0.500 0.500
```

The 6 most intense peaks (10° ≤ 2θ ≤ 80°), sorted by position:
index  2θ (°)  I_rel
1 3 1  28.4  100
0 0 4  29.7  29
2 0 2  33.3  66
0 6 0  46.9  26
1 3 5  48.7  23
3 3 3  56.5  29


# 2
The following is a computed powder X-ray diffraction pattern of AcPm2Pr6. It was derived from the PBE geometry in Alexandria, using copper Kα.
Neutral-atom scattering factors, no anomalous dispersion.

```
data_AcPm2Pr6
_symmetry_space_group_name_H-M 'C m m m'
_symmetry_Int_Tables_number 65
_symmetry_space_group_name_Hall '-C 2 2'
_cell_length_a 10.177
_cell_length_b 17.687
_cell_length_c 3.651
_cell_angle_alpha 90.00
_cell_angle_beta 90.00
_cell_angle_gamma 90.00
loop_
_atom_site_label
_atom_site_fract_x
_atom_site_fract_y
_atom_site_fract_z
Ac1 0.000 0.000 0.000
Pm1 0.000 0.333 0.000
Pr1 0.164 0.500 0.500
Pr2 0.169 0.168 0.500
```

The 6 most intense peaks (10° ≤ 2θ ≤ 80°), sorted by position:
index  2θ (°)  I_rel
2 0 1  30.1  97
3 3 0  30.4  100
2 6 1  43.3  36
1 9 1  53.8  25
3 9 0  53.9  27
3 3 2  59.6  30


# 3
The following is a computed powder X-ray diffraction pattern of Ac8Pm3Pr. It was derived from the PBE geometry in Alexandria, using copper Kα.
Neutral-atom scattering factors, no anomalous dispersion.

```
data_Ac8Pm3Pr
_symmetry_space_group_name_H-M 'I m m m'
_symmetry_Int_Tables_number 71
_symmetry_space_group_name_Hall '-I 2 2'
_cell_length_a 7.392
_cell_length_b 11.654
_cell_length_c 12.661
_cell_angle_alpha 90.00
_cell_angle_beta 90.00
_cell_angle_gamma 90.00
loop_
_atom_site_label
_atom_site_fract_x
_atom_site_fract_y
_atom_site_fract_z
Ac1 0.000 0.162 0.249
Ac2 0.237 0.266 0.000
Pm1 0.000 0.000 0.500
Pm2 0.000 0.500 0.216
Pr1 0.000 0.000 0.000
```

The 6 most intense peaks (10° ≤ 2θ ≤ 80°), sorted by position:
index  2θ (°)  I_rel
2 0 2  28.0  81
0 0 4  28.2  67
2 2 0  28.6  28
1 3 2  29.6  100
2 2 2  32.0  62
0 4 2  33.9  31


# 4
The following is a computed powder X-ray diffraction pattern of Ac3Pm3Pr5. It was derived from the PBE geometry in Alexandria, using copper Kα.
Neutral-atom scattering factors, no anomalous dispersion.

```
data_Ac3Pm3Pr5
_symmetry_space_group_name_H-M 'P -6 2 m'
_symmetry_Int_Tables_number 189
_symmetry_space_group_name_Hall 'P -6 -2'
_cell_length_a 9.8556
_cell_length_b 9.8556
_cell_length_c 6.1258
_cell_angle_alpha 90.00
_cell_angle_beta 90.00
_cell_angle_gamma 120.00
loop_
_atom_site_label
_atom_site_fract_x
_atom_site_fract_y
_atom_site_fract_z
Ac1 0.0000 0.4315 0.0000
Pm1 0.0000 0.2682 0.5000
Pr1 0.0000 0.6350 0.5000
Pr2 0.3333 0.6667 0.5000
```

The 6 most intense peaks (10° ≤ 2θ ≤ 80°), sorted by position:
index  2θ (°)  I_rel
2 0 1  25.4  89
0 0 2  29.2  75
2 1 1  31.3  100
3 0 0  31.4  57
3 0 1  34.8  56
3 1 1  40.9  64


# 5
The following is a computed powder X-ray diffraction pattern of Ac3PmPr2. It was derived from the PBE geometry in Alexandria, using copper Kα.
Neutral-atom scattering factors, no anomalous dispersion.

```
data_Ac3PmPr2
_symmetry_space_group_name_H-M 'P 1 21/m 1'
_symmetry_Int_Tables_number 11
_cell_length_a 10.837
_cell_length_b 3.862
_cell_length_c 11.522
_cell_angle_alpha 90.00
_cell_angle_beta 90.71
_cell_angle_gamma 90.00
loop_
_symmetry_equiv_pos_as_xyz
'x,y,z'
'-x,-y,-z'
'-x,y+1/2,-z'
'x,-y+1/2,z'
loop_
_atom_site_label
_atom_site_fract_x
_atom_site_fract_y
_atom_site_fract_z
Ac1 0.124 0.250 0.249
Ac2 0.137 0.250 0.585
Ac3 0.376 0.750 0.083
Pm1 0.378 0.750 0.751
Pr1 0.127 0.250 0.916
Pr2 0.384 0.750 0.416
```

The 6 most intense peaks (10° ≤ 2θ ≤ 80°), sorted by position:
index  2θ (°)  I_rel
2 1 0  28.4  100
2 0 3  28.7  32
0 1 3  32.9  46
4 0 0  33.1  22
0 2 0  47.1  26
2 2 -3  55.9  21


# 6
The following is a computed powder X-ray diffraction pattern of Ac12Pm5Pr. It was derived from the PBE geometry in Alexandria, using copper Kα.
Neutral-atom scattering factors, no anomalous dispersion.

```
data_Ac12Pm5Pr
_symmetry_space_group_name_H-M 'C 1 2 1'
_symmetry_Int_Tables_number 5
_cell_length_a 16.536
_cell_length_b 16.314
_cell_length_c 5.639
_cell_angle_alpha 90.00
_cell_angle_beta 90.03
_cell_angle_gamma 90.00
loop_
_symmetry_equiv_pos_as_xyz
'x,y,z'
'-x,y,-z'
'x+1/2,y+1/2,z'
'-x+1/2,y+1/2,-z'
loop_
_atom_site_label
_atom_site_fract_x
_atom_site_fract_y
_atom_site_fract_z
Ac1 0.158 0.000 0.000
Ac2 0.158 0.165 0.499
Ac3 0.159 0.502 0.499
Ac4 0.159 0.666 0.000
Ac5 0.163 0.333 0.999
Ac6 0.165 0.833 0.501
Pm1 0.000 0.174 0.000
Pm2 0.000 0.491 0.000
Pm3 0.000 0.681 0.500
Pm4 0.000 0.831 0.000
Pm5 0.000 0.987 0.500
Pr1 0.000 0.335 0.500
```

The 6 most intense peaks (10° ≤ 2θ ≤ 80°), sorted by position:
index  2θ (°)  I_rel
3 3 1  28.0  100
0 0 2  31.7  18
6 0 0  32.5  17
0 6 0  32.9  16
3 3 3  54.2  16
3 9 1  55.8  14


# 7
The following is a computed powder X-ray diffraction pattern of Ac2Pm3Pr6. It was derived from the PBE geometry in Alexandria, using copper Kα.
Neutral-atom scattering factors, no anomalous dispersion.

```
data_Ac2Pm3Pr6
_symmetry_space_group_name_H-M 'R -3 m'
_symmetry_Int_Tables_number 166
_symmetry_space_group_name_Hall '-R 3 2"'
_cell_length_a 3.7565
_cell_length_b 3.7565
_cell_length_c 100.6951
_cell_angle_alpha 90.00
_cell_angle_beta 90.00
_cell_angle_gamma 120.00
loop_
_atom_site_label
_atom_site_fract_x
_atom_site_fract_y
_atom_site_fract_z
Ac1 0.0000 0.0000 0.0464
Pm1 0.0000 0.0000 0.2258
Pm2 0.0000 0.0000 0.5000
Pr1 0.0000 0.0000 0.1371
Pr2 0.0000 0.0000 0.3184
Pr3 0.0000 0.0000 0.4113
```

The 6 most intense peaks (10° ≤ 2θ ≤ 80°), sorted by position:
index  2θ (°)  I_rel
0 1 11  29.1  100
0 0 33  29.3  31
1 0 22  33.8  66
1 1 0  48.5  25
0 1 44  48.6  22
2 0 11  57.6  43


# 8
The following is a computed powder X-ray diffraction pattern of Ac2Pm3Pr7. It was derived from the PBE geometry in Alexandria, using copper Kα.
Neutral-atom scattering factors, no anomalous dispersion.

```
data_Ac2Pm3Pr7
_symmetry_space_group_name_H-M 'P 1 2/m 1'
_symmetry_Int_Tables_number 10
_cell_length_a 6.644
_cell_length_b 3.707
_cell_length_c 18.229
_cell_angle_alpha 90.00
_cell_angle_beta 90.06
_cell_angle_gamma 90.00
loop_
_symmetry_equiv_pos_as_xyz
'x,y,z'
'-x,-y,-z'
'-x,y,-z'
'x,-y,z'
loop_
_atom_site_label
_atom_site_fract_x
_atom_site_fract_y
_atom_site_fract_z
Ac1 0.009 0.000 0.328
Pm1 0.000 0.000 0.000
Pm2 0.499 0.500 0.662
Pr1 0.177 0.500 0.161
Pr2 0.262 0.000 0.501
Pr3 0.329 0.000 0.836
Pr4 0.500 0.500 0.000
```

The 6 most intense peaks (10° ≤ 2θ ≤ 80°), sorted by position:
index  2θ (°)  I_rel
0 0 6  29.4  60
2 0 -3  30.7  82
1 1 3  31.3  100
3 1 0  47.8  25
3 1 6  57.2  30
2 2 -3  59.1  26


Copy entry 4 word for word.
The following is a computed powder X-ray diffraction pattern of Ac3Pm3Pr5. It was derived from the PBE geometry in Alexandria, using copper Kα.
Neutral-atom scattering factors, no anomalous dispersion.

```
data_Ac3Pm3Pr5
_symmetry_space_group_name_H-M 'P -6 2 m'
_symmetry_Int_Tables_number 189
_symmetry_space_group_name_Hall 'P -6 -2'
_cell_length_a 9.8556
_cell_length_b 9.8556
_cell_length_c 6.1258
_cell_angle_alpha 90.00
_cell_angle_beta 90.00
_cell_angle_gamma 120.00
loop_
_atom_site_label
_atom_site_fract_x
_atom_site_fract_y
_atom_site_fract_z
Ac1 0.0000 0.4315 0.0000
Pm1 0.0000 0.2682 0.5000
Pr1 0.0000 0.6350 0.5000
Pr2 0.3333 0.6667 0.5000
```

The 6 most intense peaks (10° ≤ 2θ ≤ 80°), sorted by position:
index  2θ (°)  I_rel
2 0 1  25.4  89
0 0 2  29.2  75
2 1 1  31.3  100
3 0 0  31.4  57
3 0 1  34.8  56
3 1 1  40.9  64